Entry 1:
Starting from a cell relaxed with GGA-PBE, the powder XRD pattern of Cs4OsO6 was simulated for copper Kα.
No peak broadening, texture or thermal motion is included.

Main lines, sorted by position (2θ from 10° to 80°):
| 2θ/deg | d [Å] | I (rel.) |
| --- | --- | --- |
| 15.3 | 5.778 | 22 |
| 15.8 | 5.598 | 27 |
| 24.4 | 3.643 | 64 |
| 26.4 | 3.373 | 17 |
| 27.6 | 3.232 | 100 |
| 31.0 | 2.889 | 31 |
| 34.9 | 2.567 | 30 |
| 37.2 | 2.418 | 29 |
| 48.1 | 1.892 | 27 |
| 57.0 | 1.616 | 18 |

Cell and atoms:
Cell lengths 11.1962, 11.1962, 14.3914 Å; angles 90.00, 90.00, 120.00 degrees
Space group R-3c (No. 167, hexagonal axes)
Symmetry-distinct sites (fractional):
Cs1 0.0000 0.0000 0.2500 [6 per cell]
Cs2 0.0000 0.3674 0.2500 [18 per cell]
Os1 0.0000 0.0000 0.0000 [6 per cell]
O1 0.0145 0.1445 0.4240 [36 per cell]

=====

Entry 2:
Starting from a cell relaxed with GGA-PBE, the powder XRD pattern of La2TbSm7Tl2 was simulated for copper Kα.
No peak broadening, texture or thermal motion is included.

Main lines, sorted by position (2θ from 10° to 80°):
| 2θ/deg | d [Å] | I (rel.) |
| --- | --- | --- |
| 29.5 | 3.032 | 100 |
| 31.1 | 2.875 | 71 |
| 32.1 | 2.787 | 23 |
| 33.4 | 2.679 | 22 |
| 35.0 | 2.567 | 51 |
| 35.2 | 2.547 | 27 |
| 35.5 | 2.530 | 31 |
| 50.6 | 1.802 | 36 |
| 61.0 | 1.519 | 20 |
| 61.2 | 1.514 | 27 |

Cell and atoms:
Cell lengths 10.122, 6.987, 11.362 Å; angles 90.00, 90.06, 90.00 degrees
Space group C2/m (No. 12)
Symmetry-distinct sites (fractional):
La1 0.000 0.000 0.146 [4 per cell]
Tb1 0.000 0.500 0.500 [2 per cell]
Sm1 0.000 0.000 0.500 [2 per cell]
Sm2 0.182 0.500 0.000 [4 per cell]
Sm3 0.250 0.250 0.333 [8 per cell]
Tl1 0.001 0.500 0.772 [4 per cell]

=====

Entry 3:
Starting from a cell relaxed with GGA-PBE, the powder XRD pattern of ErNi6P was simulated for copper Kα.
No peak broadening, texture or thermal motion is included.

Main lines, sorted by position (2θ from 10° to 80°):
| 2θ/deg | d [Å] | I (rel.) |
| --- | --- | --- |
| 34.7 | 2.588 | 84 |
| 37.3 | 2.409 | 100 |
| 38.7 | 2.325 | 23 |
| 39.5 | 2.279 | 50 |
| 41.4 | 2.182 | 25 |
| 51.4 | 1.777 | 38 |
| 55.7 | 1.651 | 27 |
| 61.0 | 1.519 | 21 |
| 62.9 | 1.477 | 18 |
| 65.8 | 1.419 | 21 |

Cell and atoms:
Cell lengths 5.6748, 5.6748, 12.1765 Å; angles 90.00, 90.00, 120.00 degrees
Space group R-3m (No. 166, hexagonal axes)
Symmetry-distinct sites (fractional):
Er1 0.0000 0.0000 0.0000 [3 per cell]
Ni1 0.0550 0.5275 0.9068 [18 per cell]
P1 0.0000 0.0000 0.5000 [3 per cell]

=====

Entry 4:
Starting from a cell relaxed with GGA-PBE, the powder XRD pattern of Nd2MgS4 was simulated for copper Kα.
No peak broadening, texture or thermal motion is included.

Main lines, sorted by position (2θ from 10° to 80°):
| 2θ/deg | d [Å] | I (rel.) |
| --- | --- | --- |
| 13.3 | 6.634 | 97 |
| 25.7 | 3.465 | 100 |
| 26.9 | 3.317 | 26 |
| 31.1 | 2.873 | 92 |
| 34.0 | 2.636 | 27 |
| 40.8 | 2.211 | 41 |
| 44.6 | 2.031 | 84 |
| 46.8 | 1.942 | 25 |
| 62.0 | 1.496 | 25 |
| 73.7 | 1.285 | 29 |

Cell and atoms:
Cell lengths 11.491, 11.491, 11.491 Å; angles 90.00, 90.00, 90.00 degrees
Space group Fd-3m (No. 227, origin choice 2)
Symmetry-distinct sites (fractional):
Nd1 0.000 0.000 0.000 [16 per cell]
Mg1 0.125 0.125 0.625 [8 per cell]
S1 0.003 0.003 0.247 [32 per cell]

=====

Entry 5:
Starting from a cell relaxed with GGA-PBE, the powder XRD pattern of Pu2U3Se8 was simulated for copper Kα.
No peak broadening, texture or thermal motion is included.

Main lines, sorted by position (2θ from 10° to 80°):
| 2θ/deg | d [Å] | I (rel.) |
| --- | --- | --- |
| 21.1 | 4.206 | 11 |
| 22.1 | 4.022 | 42 |
| 25.6 | 3.476 | 8 |
| 36.4 | 2.466 | 100 |
| 36.7 | 2.449 | 19 |
| 43.1 | 2.101 | 8 |
| 52.7 | 1.738 | 14 |
| 65.6 | 1.424 | 21 |
| 65.9 | 1.417 | 12 |
| 77.4 | 1.233 | 10 |

Cell and atoms:
Cell lengths 9.798, 13.994, 4.932 Å; angles 90.00, 90.00, 90.00 degrees
Space group Cmmm (No. 65)
Symmetry-distinct sites (fractional):
Pu1 0.000 0.237 0.000 [4 per cell]
U1 0.000 0.500 0.000 [2 per cell]
U2 0.230 0.000 0.500 [4 per cell]
Se1 0.000 0.126 0.500 [4 per cell]
Se2 0.000 0.383 0.500 [4 per cell]
Se3 0.241 0.379 0.000 [8 per cell]

=====

Entry 6:
Starting from a cell relaxed with GGA-PBE, the powder XRD pattern of Nd2PaNiN4 was simulated for copper Kα.
No peak broadening, texture or thermal motion is included.

Main lines, sorted by position (2θ from 10° to 80°):
| 2θ/deg | d [Å] | I (rel.) |
| --- | --- | --- |
| 20.8 | 4.276 | 36 |
| 29.1 | 3.067 | 100 |
| 30.0 | 2.982 | 43 |
| 36.0 | 2.492 | 21 |
| 41.6 | 2.169 | 46 |
| 42.3 | 2.138 | 92 |
| 52.2 | 1.754 | 43 |
| 68.4 | 1.372 | 20 |
| 68.8 | 1.364 | 20 |
| 76.4 | 1.246 | 29 |

Cell and atoms:
Cell lengths 6.134, 6.134, 5.964 Å; angles 90.00, 90.00, 90.00 degrees
Space group I-42m (No. 121)
Symmetry-distinct sites (fractional):
Nd1 0.000 0.500 0.000 [4 per cell]
Pa1 0.000 0.000 0.000 [2 per cell]
Ni1 0.000 0.000 0.500 [2 per cell]
N1 0.178 0.178 0.276 [8 per cell]

=====

Entry 7:
Starting from a cell relaxed with GGA-PBE, the powder XRD pattern of Ag2Pt7 was simulated for copper Kα.
No peak broadening, texture or thermal motion is included.

Main lines, sorted by position (2θ from 10° to 80°):
| 2θ/deg | d [Å] | I (rel.) |
| --- | --- | --- |
| 12.6 | 7.039 | 5 |
| 21.1 | 4.207 | 2 |
| 24.7 | 3.611 | 1 |
| 38.4 | 2.346 | 35 |
| 39.2 | 2.296 | 100 |
| 45.4 | 1.999 | 67 |
| 65.5 | 1.425 | 22 |
| 66.7 | 1.402 | 21 |
| 78.5 | 1.218 | 13 |
| 79.6 | 1.204 | 26 |

Cell and atoms:
Cell lengths 4.8582, 4.8582, 7.0389 Å; angles 90.00, 90.00, 120.00 degrees
Space group P-31m (No. 162)
Symmetry-distinct sites (fractional):
Ag1 0.3333 0.6667 0.0000 [2 per cell]
Pt1 0.0000 0.0000 0.0000 [1 per cell]
Pt2 0.0000 0.3294 0.6664 [6 per cell]